For RbBa2VF8, a structure optimized by DFT (PBE+U) gives the simulated X-ray diffraction stick pattern in this record (Cu Ka).
Peak positions follow from Bragg's law for the DFT cell and can differ from measured ones.

Crystal structure
```
RbBa2VF8
1.0
4.6386 0.0000 0.0000
0.0000 8.4359 0.0000
-0.9025 0.0000 5.6982
Rb Ba V F
1 2 1 8
Direct
0.0000 0.0000 0.0000 Rb
0.5000 0.2586 0.5000 Ba
0.5000 0.7414 0.5000 Ba
0.0000 0.5000 0.0000 V
0.0679 0.3229 0.7771 F
0.0679 0.6771 0.7771 F
0.3872 0.5000 0.1994 F
0.4421 0.0000 0.7275 F
0.5579 0.0000 0.2725 F
0.6128 0.5000 0.8006 F
0.9321 0.3229 0.2229 F
0.9321 0.6771 0.2229 F
```

Main lines, in order of falling intensity (15° ≤ 2θ ≤ 90°):
hkl	Position (°2θ)	I/Imax
0 2 1	26.3	100
1 0 -1	22.9	66
1 0 1	26.8	56
1 2 -2	40.7	53
1 2 0	28.8	42
1 2 2	45.4	31
2 0 0	39.3	25
2 2 -1	45.7	24
1 4 -1	49.2	19
0 0 2	31.4	17